Starting from a PBE-relaxed structure, the XRD peak list of Cu7Hg was calculated for Cu Kα (λ = 1.5418 Å).
Intensities are scaled so that the largest is 100.

Peak list (6 most intense, 2θ = 15–90°, in order of rising 2θ)
42.28 deg, intensity 69
43.52 deg, intensity 100
44.64 deg, intensity 35
48.57 deg, intensity 46
52.64 deg, intensity 28
74.42 deg, intensity 24

Structural model:
abc: 2.5952 3.4779 32.5209
angles: 90.00 90.00 90.00
Fractional positions:
Cu (0.2500, 0.2500, 0.0196)
Cu (0.2500, 0.2500, 0.0986)
Cu (0.2500, 0.2500, 0.1785)
Cu (0.2500, 0.2500, 0.2577)
Cu (0.2500, 0.2500, 0.7821)
Cu (0.2500, 0.2500, 0.8617)
Cu (0.2500, 0.2500, 0.9410)
Cu (0.7500, 0.7500, 0.0590)
Cu (0.7500, 0.7500, 0.1383)
Cu (0.7500, 0.7500, 0.2179)
Cu (0.7500, 0.7500, 0.7423)
Cu (0.7500, 0.7500, 0.8215)
Cu (0.7500, 0.7500, 0.9014)
Cu (0.7500, 0.7500, 0.9804)
Hg (0.2500, 0.2500, 0.6837)
Hg (0.7500, 0.7500, 0.3163)